CsInTe2: calculated powder XRD pattern (Cu Kα), based on a structure optimized by DFT (GGA-PBE).
Lines closer than 0.1° are merged.

Crystal structure
a b c (Å): 9.0717 9.0717 18.3619
angles (deg): 97.09 97.09 90.03
Sites, in units of the cell vectors:
Cs1 0.1514 0.7767 0.6038
Cs2 0.2215 0.3473 0.8883
Cs3 0.2233 0.8486 0.8962
Cs4 0.3473 0.2215 0.3883
Cs5 0.6527 0.7785 0.6117
Cs6 0.7767 0.1514 0.1038
Cs7 0.7785 0.6527 0.1117
Cs8 0.8486 0.2233 0.3962
In1 0.0854 0.7090 0.3342
In2 0.2912 0.4186 0.1668
In3 0.2910 0.9146 0.1658
In4 0.4186 0.2912 0.6668
In5 0.5814 0.7088 0.3332
In6 0.7090 0.0854 0.8342
In7 0.7088 0.5814 0.8332
In8 0.9146 0.2910 0.6658
Te1 0.0505 0.9495 0.2500
Te2 0.0505 0.4259 0.2507
Te3 0.1437 0.2668 0.5718
Te4 0.2668 0.1437 0.0718
Te5 0.2669 0.6418 0.0706
Te6 0.3582 0.7331 0.4294
Te7 0.4259 0.0505 0.7507
Te8 0.4255 0.5745 0.7500
Te9 0.5745 0.4255 0.2500
Te10 0.5741 0.9495 0.2493
Te11 0.6418 0.2669 0.5706
Te12 0.7331 0.3582 0.9294
Te13 0.7332 0.8563 0.9282
Te14 0.8563 0.7332 0.4282
Te15 0.9495 0.5741 0.7493
Te16 0.9495 0.0505 0.7500

Principal peaks in the range 2θ = 5–70°, most intense first:
2θ (°), d/Å, I (rel.)
26.14, 3.408, 100
39.74, 2.268, 38
37.47, 2.400, 37
48.20, 1.888, 36
20.93, 4.245, 31
23.15, 3.843, 28
45.07, 2.012, 27
19.71, 4.504, 19
28.26, 3.158, 19
9.78, 9.039, 14